For PrNd4Te7, the GGA-PBE geometry in Alexandria gives the theoretical powder diffractogram in this record (Cu Kα (λ = 1.5418 Å)).
Lines closer than 0.1° are merged.

Top 10 peaks for 10 to 80 degrees two-theta, by angle:
d (Å)	two_theta	I (rel.)
4.330	20.51	47.6
3.377	26.39	59.6
3.308	26.96	48.6
3.261	27.35	86.7
3.225	27.66	48.0
3.108	28.73	100.0
3.017	29.61	77.8
2.494	36.01	52.4
2.208	40.87	45.9
2.187	41.28	68.2

Crystal structure
abc: 7.710 7.710 13.537
angles: 103.77 103.77 32.96
Element x y z (fractional)
Pr 0.000 0.000 0.000
Nd 0.116 0.116 0.424
Nd 0.231 0.231 0.846
Nd 0.415 0.415 0.612
Nd 0.816 0.816 0.236
Te 0.077 0.077 0.640
Te 0.155 0.155 0.208
Te 0.372 0.372 0.075
Te 0.455 0.455 0.375
Te 0.615 0.615 0.922
Te 0.777 0.777 0.472
Te 0.857 0.857 0.771